1.
For Th4NiSn8, a structure optimized by DFT (GGA-PBE) gives the theoretical powder diffraction line list in this record (a wavelength of 1.5418 Å).
Kinematic intensities with the Lorentz-polarization factor, no thermal factor.

Cell and atoms:
a = 4.460 Å, b = 4.523 Å, c = 17.334 Å
α = 90.00°, β = 90.00°, γ = 90.00°
Atoms (fractional coordinates):
Th 0.000 0.000 0.000
Th 0.000 0.500 0.494
Th 0.500 0.000 0.790
Th 0.500 0.500 0.291
Ni 0.000 0.500 0.705
Sn 0.000 0.000 0.330
Sn 0.000 0.000 0.635
Sn 0.000 0.500 0.146
Sn 0.000 0.500 0.849
Sn 0.500 0.000 0.146
Sn 0.500 0.000 0.451
Sn 0.500 0.500 0.634
Sn 0.500 0.500 0.962

Main lines, by intensity (2θ from 10° to 90°):
d (Å)  Position (°2θ)  Rel. int.
2.783  32.2  100
1.387  67.5  19
2.261  39.9  18
2.230  40.5  17
2.889  31.0  17
2.425  37.1  12
1.588  58.1  12
1.372  68.4  12
2.751  32.5  11
3.965  22.4  10

2.
For Th2Ni3Sn5, a structure optimized by DFT (GGA-PBE) gives the theoretical powder diffraction line list in this record (a wavelength of 1.5418 Å).
Kinematic intensities with the Lorentz-polarization factor, no thermal factor.

Cell and atoms:
a = 12.969 Å, b = 12.969 Å, c = 7.915 Å
α = 90.00°, β = 90.00°, γ = 160.71°
Atoms (fractional coordinates):
Th 0.030 0.970 0.500
Th 0.328 0.672 0.455
Th 0.672 0.328 0.955
Th 0.970 0.030 0.000
Ni 0.106 0.894 0.807
Ni 0.277 0.723 0.922
Ni 0.461 0.539 0.653
Ni 0.539 0.461 0.153
Ni 0.723 0.277 0.422
Ni 0.894 0.106 0.307
Sn 0.093 0.907 0.131
Sn 0.187 0.813 0.618
Sn 0.222 0.778 0.219
Sn 0.378 0.622 0.893
Sn 0.450 0.550 0.312
Sn 0.550 0.450 0.812
Sn 0.622 0.378 0.393
Sn 0.778 0.222 0.719
Sn 0.813 0.187 0.118
Sn 0.907 0.093 0.631

Main lines, by intensity (2θ from 10° to 90°):
d (Å)  Position (°2θ)  Rel. int.
2.637  34.0  100
2.767  32.4  82
2.437  36.9  55
2.904  30.8  40
2.173  41.6  38
1.622  56.8  32
2.245  40.2  17
1.327  71.0  13
1.424  65.6  12
1.482  62.7  11

3.
For Ti7Ni2Sn, a structure optimized by DFT (GGA-PBE) gives the theoretical powder diffraction line list in this record (a wavelength of 1.5418 Å).
Kinematic intensities with the Lorentz-polarization factor, no thermal factor.

Cell and atoms:
a = 7.105 Å, b = 7.105 Å, c = 4.294 Å
α = 90.00°, β = 90.00°, γ = 116.09°
Atoms (fractional coordinates):
Ti 0.000 0.000 0.000
Ti 0.187 0.436 0.000
Ti 0.252 0.748 0.500
Ti 0.436 0.187 0.000
Ti 0.564 0.813 0.000
Ti 0.748 0.252 0.500
Ti 0.813 0.564 0.000
Ni 0.192 0.808 0.000
Ni 0.808 0.192 0.000
Sn 0.500 0.500 0.500

Main lines, by intensity (2θ from 10° to 90°):
d (Å)  Position (°2θ)  Rel. int.
2.130  42.4  100
2.352  38.3  70
3.562  25.0  70
2.025  44.8  66
2.467  36.4  56
2.147  42.1  53
3.760  23.7  49
1.586  58.2  38
6.381  13.9  30
4.294  20.7  26

4.
For TiNi2Sn2, a structure optimized by DFT (GGA-PBE) gives the theoretical powder diffraction line list in this record (a wavelength of 1.5418 Å).
Kinematic intensities with the Lorentz-polarization factor, no thermal factor.

Cell and atoms:
a = 7.096 Å, b = 7.096 Å, c = 3.263 Å
α = 90.00°, β = 90.00°, γ = 90.00°
Atoms (fractional coordinates):
Ti 0.000 0.000 0.000
Ti 0.500 0.500 0.000
Ni 0.123 0.377 0.000
Ni 0.377 0.877 0.000
Ni 0.623 0.123 0.000
Ni 0.877 0.623 0.000
Sn 0.175 0.675 0.500
Sn 0.325 0.175 0.500
Sn 0.675 0.825 0.500
Sn 0.825 0.325 0.500

Main lines, by intensity (2θ from 10° to 90°):
d (Å)  Position (°2θ)  Rel. int.
2.275  39.6  100
2.244  40.2  33
2.402  37.4  30
1.522  60.9  17
1.721  53.2  13
5.018  17.7  12
3.174  28.1  12
1.319  71.5  11
1.631  56.4  11
1.222  78.2  10

5.
For Ti7Ni5Sn, a structure optimized by DFT (GGA-PBE) gives the theoretical powder diffraction line list in this record (a wavelength of 1.5418 Å).
Kinematic intensities with the Lorentz-polarization factor, no thermal factor.

Cell and atoms:
a = 6.731 Å, b = 6.731 Å, c = 6.731 Å
α = 136.67°, β = 100.20°, γ = 95.48°
Atoms (fractional coordinates):
Ti 0.000 0.000 0.000
Ti 0.112 0.780 0.332
Ti 0.341 0.341 0.000
Ti 0.448 0.780 0.668
Ti 0.531 0.031 0.500
Ti 0.655 0.316 0.339
Ti 0.977 0.316 0.661
Ni 0.060 0.560 0.500
Ni 0.302 0.297 0.505
Ni 0.302 0.797 0.005
Ni 0.792 0.297 0.995
Ni 0.792 0.797 0.495
Sn 0.688 0.688 0.000

Main lines, by intensity (2θ from 10° to 90°):
d (Å)  Position (°2θ)  Rel. int.
1.946  46.7  100
2.181  41.4  85
2.154  41.9  59
2.004  45.2  47
2.489  36.1  43
1.236  77.2  30
2.264  39.8  30
2.580  34.8  29
2.159  41.8  28
4.527  19.6  26

6.
For TmNi4Sn4, a structure optimized by DFT (GGA-PBE) gives the theoretical powder diffraction line list in this record (a wavelength of 1.5418 Å).
Kinematic intensities with the Lorentz-polarization factor, no thermal factor.

Cell and atoms:
a = 8.398 Å, b = 8.398 Å, c = 5.119 Å
α = 90.00°, β = 90.00°, γ = 90.00°
Atoms (fractional coordinates):
Tm 0.250 0.250 0.250
Tm 0.750 0.750 0.750
Ni 0.047 0.607 0.650
Ni 0.107 0.953 0.150
Ni 0.393 0.547 0.150
Ni 0.453 0.893 0.650
Ni 0.547 0.107 0.350
Ni 0.607 0.453 0.850
Ni 0.893 0.047 0.850
Ni 0.953 0.393 0.350
Sn 0.092 0.638 0.153
Sn 0.138 0.908 0.653
Sn 0.362 0.592 0.653
Sn 0.408 0.862 0.153
Sn 0.592 0.138 0.847
Sn 0.638 0.408 0.347
Sn 0.862 0.092 0.347
Sn 0.908 0.362 0.847

Main lines, by intensity (2θ from 10° to 90°):
d (Å)  Position (°2θ)  Rel. int.
2.656  33.8  100
3.028  29.5  48
1.890  48.1  45
2.448  36.7  41
4.371  20.3  27
2.120  42.6  24
1.595  57.8  24
1.878  48.5  23
1.843  49.5  19
1.216  78.7  15

7.
For Tm4Ni2Sn, a structure optimized by DFT (GGA-PBE) gives the theoretical powder diffraction line list in this record (a wavelength of 1.5418 Å).
Kinematic intensities with the Lorentz-polarization factor, no thermal factor.

Cell and atoms:
a = 8.698 Å, b = 6.526 Å, c = 9.025 Å
α = 65.74°, β = 43.16°, γ = 71.09°
Atoms (fractional coordinates):
Tm 0.083 0.917 0.135
Tm 0.115 0.385 0.167
Tm 0.128 0.546 0.739
Tm 0.385 0.115 0.333
Tm 0.511 0.663 0.122
Tm 0.546 0.128 0.587
Tm 0.663 0.511 0.704
Tm 0.917 0.083 0.865
Ni 0.102 0.489 0.463
Ni 0.304 0.787 0.761
Ni 0.489 0.102 0.946
Ni 0.787 0.304 0.148
Sn 0.673 0.673 0.327
Sn 0.923 0.923 0.577

Main lines, by intensity (2θ from 10° to 90°):
d (Å)  Position (°2θ)  Rel. int.
2.702  33.2  100
2.741  32.7  91
2.458  36.6  83
3.001  29.8  83
2.618  34.2  77
2.052  44.1  59
2.973  30.1  58
1.903  47.8  29
1.628  56.5  24
1.500  61.9  22

8.
For Tm7NiSn4, a structure optimized by DFT (GGA-PBE) gives the theoretical powder diffraction line list in this record (a wavelength of 1.5418 Å).
Kinematic intensities with the Lorentz-polarization factor, no thermal factor.

Cell and atoms:
a = 8.203 Å, b = 8.203 Å, c = 11.094 Å
α = 126.86°, β = 126.86°, γ = 36.44°
Atoms (fractional coordinates):
Tm 0.000 0.000 0.000
Tm 0.142 0.142 0.563
Tm 0.281 0.281 0.138
Tm 0.428 0.428 0.717
Tm 0.572 0.572 0.283
Tm 0.719 0.719 0.862
Tm 0.858 0.858 0.437
Ni 0.500 0.500 0.000
Sn 0.080 0.080 0.781
Sn 0.221 0.221 0.349
Sn 0.779 0.779 0.651
Sn 0.920 0.920 0.219

Main lines, by intensity (2θ from 10° to 90°):
d (Å)  Position (°2θ)  Rel. int.
2.585  34.7  100
2.594  34.6  96
3.662  24.3  67
1.831  49.8  61
2.613  34.3  59
2.565  35.0  57
1.486  62.5  36
1.491  62.3  20
1.502  61.8  19
1.507  61.5  17